For Ca2AlCoO5, a cell relaxed with PBE+U gives the computed XRD peak list in this record (λ = 1.5418 Å (Cu Kα)).

Atomic structure:
```
data_Ca2AlCoO5
_chemical_formula_sum 'Ca4 Al2 Co2 O10'
_symmetry_space_group_name_H-M 'P 1'
_symmetry_Int_Tables_number 1
_cell_length_a 5.2673
_cell_length_b 5.5886
_cell_length_c 8.3039
_cell_angle_alpha 109.12
_cell_angle_beta 108.10
_cell_angle_gamma 91.07
loop_
_symmetry_equiv_pos_as_xyz
'x,y,z'
loop_
_atom_site_label
_atom_site_type_symbol
_atom_site_fract_x
_atom_site_fract_y
_atom_site_fract_z
Ca1 Ca 0.0000 0.0000 0.0000
Ca2 Ca 0.2167 0.2852 0.4407
Ca3 Ca 0.5029 0.5655 0.0003
Ca4 Ca 0.7231 0.7218 0.4427
Al1 Al 0.3936 0.9695 0.7237
Al2 Al 0.8929 0.3169 0.7179
Co1 Co 0.1007 0.6439 0.2223
Co2 Co 0.5994 0.1436 0.2219
O1 O 0.2184 0.7179 0.5230
O2 O 0.2308 0.2513 0.7211
O3 O 0.3393 0.4020 0.1943
O4 O 0.3599 0.9160 0.2465
O5 O 0.4304 0.9357 0.9335
O6 O 0.7210 0.3495 0.5081
O7 O 0.7301 0.0323 0.7203
O8 O 0.8430 0.3638 0.1957
O9 O 0.8656 0.8924 0.2486
O10 O 0.9161 0.5666 0.9176
```

Top 10 peaks for 2θ = 10–90°, by angle:
| 2θ/deg | d (Å) | Rel. int. | (hkl) |
| --- | --- | --- | --- |
| 11.97 | 7.391 | 100 | 0 0 1 |
| 24.08 | 3.696 | 23 | 0 1 1 |
| 32.04 | 2.794 | 57 | 0 2 -1 |
| 33.54 | 2.672 | 87 | 1 -1 2 |
| 33.85 | 2.648 | 85 | 1 1 -3 |
| 34.05 | 2.633 | 68 | 2 0 -1 |
| 43.55 | 2.078 | 29 | 1 -1 3 |
| 46.97 | 1.934 | 37 | 2 -2 0 |
| 47.91 | 1.899 | 35 | 2 2 -2 |
| 49.32 | 1.848 | 34 | 0 0 4 |